For SmMgWS4, a PBE-relaxed structure gives the theoretical XRD peak list in this record (Cu Kα).
Intensities are scaled so that the largest is 100.

Cell and atoms:
```
data_SmMgWS4
_cell_length_a 7.6536
_cell_length_b 7.7520
_cell_length_c 10.7899
_cell_angle_alpha 90.00
_cell_angle_beta 90.00
_cell_angle_gamma 90.00
_symmetry_space_group_name_H-M 'I m m a'
_symmetry_Int_Tables_number 74
_symmetry_space_group_name_Hall '-I 2b 2'
loop_
_atom_site_label
_atom_site_fract_x
_atom_site_fract_y
_atom_site_fract_z
_atom_site_occupancy
Sm1 0.0000 0.0000 0.0000 1
Mg1 0.0000 0.2500 0.3764 1
W1 0.2500 0.2500 0.7500 1
S1 0.0000 0.0328 0.7425 1
S2 0.2462 0.2500 0.5184 1
```

Peak list (10 most intense, 15 to 90 degrees two-theta, in order of rising 2θ)
2theta, Rel. int., index
27.1, 46, 1 2 1
27.3, 90, 2 1 1
27.4, 25, 1 0 3
28.4, 30, 0 2 2
28.6, 28, 2 0 2
32.9, 94, 2 2 0
33.2, 45, 0 0 4
43.1, 33, 2 3 1
43.5, 27, 0 1 5
47.5, 100, 4 0 0